No. 1
Diffraction record for CePb2Se4. The powder XRD pattern is calculated, not measured: it uses a PBE-relaxed structure and copper Kα.

Atomic structure:
```
data_CePb2Se4
_chemical_formula_sum 'Ce4 Pb8 Se16'
_cell_length_a 4.106
_cell_length_b 14.516
_cell_length_c 14.028
_cell_angle_alpha 90.00
_cell_angle_beta 90.00
_cell_angle_gamma 90.00
_space_group_name_H-M_alt 'C m c m'
_space_group_IT_number 63
_space_group_name_Hall '-C 2c 2'
loop_
_atom_site_label
_atom_site_fract_x
_atom_site_fract_y
_atom_site_fract_z
Ce1 0.000 0.119 0.250
Pb1 0.000 0.370 0.068
Se1 0.000 0.000 0.000
Se2 0.000 0.289 0.629
Se3 0.000 0.481 0.250
```

Principal peaks in the range 10° ≤ 2θ ≤ 90°, by angle:
3.931 Å, rel. 100, hkl 0 2 3; 3.158 Å, rel. 27, hkl 0 2 4; 3.131 Å, rel. 31, hkl 1 3 0; 3.055 Å, rel. 55, hkl 1 3 1; 2.859 Å, rel. 84, hkl 1 3 2; 2.337 Å, rel. 36, hkl 0 0 6; 2.288 Å, rel. 54, hkl 1 1 5; 2.246 Å, rel. 39, hkl 1 5 2; 2.149 Å, rel. 43, hkl 0 6 3; 2.053 Å, rel. 31, hkl 2 0 0; 1.820 Å, rel. 25, hkl 2 2 3; 1.484 Å, rel. 27, hkl 2 6 3



No. 2
Diffraction record for Ce4TePbSe2. The powder XRD pattern is calculated, not measured: it uses a PBE-relaxed structure and copper Kα.

Atomic structure:
```
data_Ce4TePbSe2
_chemical_formula_sum 'Ce16 Te4 Pb4 Se8'
_cell_length_a 8.700
_cell_length_b 8.768
_cell_length_c 12.350
_cell_angle_alpha 90.00
_cell_angle_beta 90.00
_cell_angle_gamma 90.00
_space_group_name_H-M_alt 'I m m a'
_space_group_IT_number 74
_space_group_name_Hall '-I 2b 2'
loop_
_atom_site_label
_atom_site_fract_x
_atom_site_fract_y
_atom_site_fract_z
Ce1 0.000 0.015 0.242
Ce2 0.235 0.250 0.007
Te1 0.250 0.250 0.750
Pb1 0.000 0.000 0.500
Se1 0.000 0.000 0.000
Se2 0.250 0.250 0.250
```

Principal peaks in the range 10° ≤ 2θ ≤ 90°, by angle:
3.728 Å, rel. 6, hkl 1 2 1; 3.088 Å, rel. 100, hkl 2 2 0; 2.192 Å, rel. 13, hkl 0 4 0; 2.183 Å, rel. 50, hkl 2 2 4; 2.175 Å, rel. 12, hkl 4 0 0; 1.787 Å, rel. 13, hkl 0 4 4; 1.778 Å, rel. 13, hkl 4 0 4; 1.544 Å, rel. 12, hkl 0 0 8; 1.385 Å, rel. 5, hkl 2 6 0; 1.381 Å, rel. 22, hkl 2 2 8; 1.264 Å, rel. 8, hkl 2 6 4; 1.257 Å, rel. 8, hkl 6 2 4



No. 3
Diffraction record for Ce4SiPb2. The powder XRD pattern is calculated, not measured: it uses a PBE-relaxed structure and copper Kα.

Atomic structure:
```
data_Ce4SiPb2
_chemical_formula_sum 'Ce8 Si2 Pb4'
_cell_length_a 7.673
_cell_length_b 10.442
_cell_length_c 5.327
_cell_angle_alpha 90.00
_cell_angle_beta 90.00
_cell_angle_gamma 90.00
_space_group_name_H-M_alt 'C m m m'
_space_group_IT_number 65
_space_group_name_Hall '-C 2 2'
loop_
_atom_site_label
_atom_site_fract_x
_atom_site_fract_y
_atom_site_fract_z
Ce1 0.176 0.000 0.000
Ce2 0.250 0.250 0.500
Si1 0.000 0.000 0.500
Pb1 0.000 0.301 0.000
```

Principal peaks in the range 10° ≤ 2θ ≤ 90°, by angle:
5.327 Å, rel. 29, hkl 0 0 1; 5.221 Å, rel. 17, hkl 0 2 0; 3.170 Å, rel. 29, hkl 1 3 0; 3.113 Å, rel. 28, hkl 2 0 1; 2.724 Å, rel. 30, hkl 1 3 1; 2.674 Å, rel. 100, hkl 2 2 1; 2.664 Å, rel. 38, hkl 0 0 2; 2.611 Å, rel. 18, hkl 0 4 0; 2.252 Å, rel. 18, hkl 3 1 1; 2.039 Å, rel. 17, hkl 1 3 2; 1.548 Å, rel. 21, hkl 3 5 1; 1.540 Å, rel. 19, hkl 2 2 3



No. 4
Diffraction record for Ce6Si2Pb. The powder XRD pattern is calculated, not measured: it uses a PBE-relaxed structure and copper Kα.

Atomic structure:
```
data_Ce6Si2Pb
_chemical_formula_sum 'Ce24 Si8 Pb4'
_cell_length_a 9.369
_cell_length_b 9.723
_cell_length_c 10.559
_cell_angle_alpha 90.00
_cell_angle_beta 90.00
_cell_angle_gamma 90.00
_space_group_name_H-M_alt 'I m m m'
_space_group_IT_number 71
_space_group_name_Hall '-I 2 2'
loop_
_atom_site_label
_atom_site_fract_x
_atom_site_fract_y
_atom_site_fract_z
Ce1 0.000 0.221 0.249
Ce2 0.215 0.500 0.188
Ce3 0.219 0.295 0.500
Si1 0.000 0.376 0.000
Si2 0.000 0.500 0.388
Pb1 0.000 0.000 0.000
Pb2 0.000 0.000 0.500
```

Principal peaks in the range 10° ≤ 2θ ≤ 90°, by angle:
3.309 Å, rel. 9, hkl 0 1 3; 2.973 Å, rel. 13, hkl 3 1 0; 2.842 Å, rel. 100, hkl 2 2 2; 2.703 Å, rel. 13, hkl 2 1 3; 2.649 Å, rel. 22, hkl 1 3 2; 2.640 Å, rel. 16, hkl 0 0 4; 2.584 Å, rel. 11, hkl 2 3 1; 2.431 Å, rel. 14, hkl 0 4 0; 2.342 Å, rel. 16, hkl 4 0 0; 1.655 Å, rel. 9, hkl 5 0 3; 1.650 Å, rel. 9, hkl 3 5 0; 1.550 Å, rel. 12, hkl 5 3 2



No. 5
Diffraction record for Ce3SmPb2. The powder XRD pattern is calculated, not measured: it uses a PBE-relaxed structure and copper Kα.

Atomic structure:
```
data_Ce3SmPb2
_chemical_formula_sum 'Ce12 Sm4 Pb8'
_cell_length_a 18.699
_cell_length_b 4.869
_cell_length_c 8.353
_cell_angle_alpha 90.00
_cell_angle_beta 114.79
_cell_angle_gamma 90.00
_space_group_name_H-M_alt 'C 1 2/m 1'
_space_group_IT_number 12
loop_
_space_group_symop_operation_xyz
'x,y,z'
'-x,-y,-z'
'-x,y,-z'
'x,-y,z'
'x+1/2,y+1/2,z'
'-x+1/2,-y+1/2,-z'
'-x+1/2,y+1/2,-z'
'x+1/2,-y+1/2,z'
loop_
_atom_site_label
_atom_site_fract_x
_atom_site_fract_y
_atom_site_fract_z
Ce1 0.069 0.000 0.156
Ce2 0.120 0.500 0.048
Ce3 0.204 0.500 0.411
Sm1 0.112 0.000 0.677
Pb1 0.022 0.500 0.343
Pb2 0.248 0.500 0.834
```

Principal peaks in the range 10° ≤ 2θ ≤ 90°, by angle:
3.128 Å, rel. 20, hkl 1 1 -2; 3.010 Å, rel. 40, hkl 3 1 1; 2.965 Å, rel. 77, hkl 5 1 -1; 2.790 Å, rel. 100, hkl 1 1 2; 2.760 Å, rel. 34, hkl 2 0 -3; 2.738 Å, rel. 93, hkl 5 1 -2; 2.435 Å, rel. 71, hkl 0 2 0; 2.347 Å, rel. 30, hkl 6 0 1; 2.340 Å, rel. 28, hkl 1 1 -3; 1.826 Å, rel. 23, hkl 2 2 -3; 1.802 Å, rel. 21, hkl 10 0 -3; 1.690 Å, rel. 22, hkl 6 2 1



No. 6
Diffraction record for CeSmPb. The powder XRD pattern is calculated, not measured: it uses a PBE-relaxed structure and copper Kα.

Atomic structure:
```
data_CeSmPb
_chemical_formula_sum 'Ce2 Sm2 Pb2'
_cell_length_a 4.223
_cell_length_b 4.223
_cell_length_c 9.987
_cell_angle_alpha 90.00
_cell_angle_beta 90.00
_cell_angle_gamma 90.00
_space_group_name_H-M_alt 'I 4 m m'
_space_group_IT_number 107
_space_group_name_Hall 'I 4 -2'
loop_
_atom_site_label
_atom_site_fract_x
_atom_site_fract_y
_atom_site_fract_z
Ce1 0.000 0.000 0.000
Sm1 0.000 0.000 0.306
Pb1 0.000 0.000 0.654
```

Principal peaks in the range 10° ≤ 2θ ≤ 90°, by angle:
2.986 Å, rel. 74, hkl 1 1 0; 2.614 Å, rel. 100, hkl 1 0 3; 2.111 Å, rel. 28, hkl 2 0 0; 1.664 Å, rel. 6, hkl 0 0 6; 1.643 Å, rel. 50, hkl 2 1 3; 1.493 Å, rel. 9, hkl 2 2 0; 1.454 Å, rel. 15, hkl 1 1 6; 1.335 Å, rel. 13, hkl 3 1 0; 1.307 Å, rel. 10, hkl 2 0 6; 1.296 Å, rel. 11, hkl 3 0 3; 1.111 Å, rel. 7, hkl 2 2 6; 1.105 Å, rel. 15, hkl 3 2 3



No. 7
Diffraction record for Ce3SmPb4. The powder XRD pattern is calculated, not measured: it uses a PBE-relaxed structure and copper Kα.

Atomic structure:
```
data_Ce3SmPb4
_chemical_formula_sum 'Ce6 Sm2 Pb8'
_cell_length_a 6.426
_cell_length_b 12.860
_cell_length_c 6.426
_cell_angle_alpha 90.00
_cell_angle_beta 90.00
_cell_angle_gamma 90.00
_space_group_name_H-M_alt 'P m m n'
_space_group_IT_number 59
loop_
_space_group_symop_operation_xyz
'x,y,z'
'-x,-y,-z'
'-x+1/2,-y+1/2,z'
'x+1/2,y+1/2,-z'
'x+1/2,-y,-z'
'-x+1/2,y,z'
'-x,y+1/2,-z'
'x,-y+1/2,z'
loop_
_atom_site_label
_atom_site_fract_x
_atom_site_fract_y
_atom_site_fract_z
Ce1 0.250 0.000 0.250
Ce2 0.250 0.250 0.748
Sm1 0.250 0.750 0.752
Pb1 0.250 0.002 0.750
Pb2 0.250 0.250 0.248
Pb3 0.250 0.750 0.252
```

Principal peaks in the range 10° ≤ 2θ ≤ 90°, by angle:
3.711 Å, rel. 6, hkl 1 2 1; 3.214 Å, rel. 100, hkl 2 0 0; 2.272 Å, rel. 78, hkl 2 4 0; 1.938 Å, rel. 3, hkl 3 2 1; 1.855 Å, rel. 28, hkl 2 4 2; 1.607 Å, rel. 13, hkl 4 0 0; 1.474 Å, rel. 2, hkl 3 2 3; 1.437 Å, rel. 37, hkl 4 4 0; 1.312 Å, rel. 28, hkl 4 4 2; 1.237 Å, rel. 1, hkl 5 2 1; 1.136 Å, rel. 9, hkl 4 0 4



No. 8
Diffraction record for Ce4Sn2Pb. The powder XRD pattern is calculated, not measured: it uses a PBE-relaxed structure and copper Kα.

Atomic structure:
```
data_Ce4Sn2Pb
_chemical_formula_sum 'Ce16 Sn8 Pb4'
_cell_length_a 9.517
_cell_length_b 9.517
_cell_length_c 9.583
_cell_angle_alpha 90.00
_cell_angle_beta 90.00
_cell_angle_gamma 90.00
_space_group_name_H-M_alt 'I -4 2 d'
_space_group_IT_number 122
_space_group_name_Hall 'I -4 2bw'
loop_
_atom_site_label
_atom_site_fract_x
_atom_site_fract_y
_atom_site_fract_z
Ce1 0.076 0.673 0.446
Sn1 0.127 0.750 0.125
Pb1 0.000 0.000 0.500
```

Principal peaks in the range 10° ≤ 2θ ≤ 90°, by angle:
3.890 Å, rel. 12, hkl 2 1 1; 3.028 Å, rel. 59, hkl 1 0 3; 3.011 Å, rel. 100, hkl 3 0 1; 2.551 Å, rel. 75, hkl 3 1 2; 2.545 Å, rel. 40, hkl 3 2 1; 2.129 Å, rel. 14, hkl 4 2 0; 2.034 Å, rel. 18, hkl 3 3 2; 1.945 Å, rel. 15, hkl 4 2 2; 1.873 Å, rel. 19, hkl 3 1 4; 1.545 Å, rel. 30, hkl 6 1 1; 1.505 Å, rel. 14, hkl 6 2 0; 1.296 Å, rel. 16, hkl 5 5 2